# Dy3Er6Zr
Calculated powder diffraction line list, Cu Kα. Input: a crystal structure in Alexandria, relaxed with GGA-PBE.
Neutral-atom scattering factors, no anomalous dispersion.

Structure:
```
data_Dy3Er6Zr
_chemical_formula_sum 'Dy6 Er12 Zr2'
_cell_length_a 11.3119
_cell_length_b 11.3286
_cell_length_c 4.8857
_cell_angle_alpha 90.00
_cell_angle_beta 90.00
_cell_angle_gamma 90.00
_space_group_name_H-M_alt 'P 1'
_space_group_IT_number 1
loop_
_space_group_symop_operation_xyz
'x,y,z'
loop_
_atom_site_label
_atom_site_type_symbol
_atom_site_fract_x
_atom_site_fract_y
_atom_site_fract_z
_atom_site_occupancy
Dy1 Dy 0.0000 0.0000 0.0000 1
Dy2 Dy 0.1485 0.3518 0.0000 1
Dy3 Dy 0.3515 0.8518 0.0000 1
Dy4 Dy 0.5000 0.5000 0.0000 1
Dy5 Dy 0.6485 0.1482 0.0000 1
Dy6 Dy 0.8515 0.6482 0.0000 1
Er1 Er 0.9998 0.2152 0.5000 1
Er2 Er 0.0002 0.7848 0.5000 1
Er3 Er 0.1474 0.6474 0.0000 1
Er4 Er 0.2153 0.0003 0.5000 1
Er5 Er 0.2847 0.5003 0.5000 1
Er6 Er 0.3526 0.1474 0.0000 1
Er7 Er 0.4998 0.2848 0.5000 1
Er8 Er 0.5002 0.7152 0.5000 1
Er9 Er 0.6474 0.8526 0.0000 1
Er10 Er 0.7153 0.4997 0.5000 1
Er11 Er 0.7847 0.9997 0.5000 1
Er12 Er 0.8526 0.3526 0.0000 1
Zr1 Zr 0.0000 0.5000 0.5000 1
Zr2 Zr 0.5000 0.0000 0.5000 1
```

Most intense lines, 15 to 90 degrees two-theta, by angle:
- 2θ 24.87, d = 3.580 Å, intensity 14
- 2θ 28.84, d = 3.096 Å, intensity 55
- 2θ 30.97, d = 2.888 Å, intensity 100
- 2θ 33.59, d = 2.668 Å, intensity 30
- 2θ 36.70, d = 2.449 Å, intensity 59
- 2θ 36.79, d = 2.443 Å, intensity 34
- 2θ 45.32, d = 2.001 Å, intensity 20
- 2θ 50.66, d = 1.802 Å, intensity 19
- 2θ 59.73, d = 1.548 Å, intensity 18
- 2θ 65.66, d = 1.422 Å, intensity 40



# PuAgB2O6
Calculated powder diffraction line list, Cu Kα. Input: a crystal structure in Alexandria, relaxed with GGA-PBE.
Neutral-atom scattering factors, no anomalous dispersion.

Structure:
```
data_PuAgB2O6
_chemical_formula_sum 'Pu2 Ag2 B4 O12'
_cell_length_a 6.8666
_cell_length_b 6.8666
_cell_length_c 4.6218
_cell_angle_alpha 97.13
_cell_angle_beta 97.13
_cell_angle_gamma 91.94
_space_group_name_H-M_alt 'P 1'
_space_group_IT_number 1
loop_
_space_group_symop_operation_xyz
'x,y,z'
loop_
_atom_site_label
_atom_site_type_symbol
_atom_site_fract_x
_atom_site_fract_y
_atom_site_fract_z
_atom_site_occupancy
Pu1 Pu 0.1945 0.8055 0.7500 1
Pu2 Pu 0.8055 0.1945 0.2500 1
Ag1 Ag 0.4132 0.5868 0.2500 1
Ag2 Ag 0.5868 0.4132 0.7500 1
B1 B 0.1383 0.2907 0.7840 1
B2 B 0.2907 0.1383 0.2840 1
B3 B 0.7093 0.8617 0.7160 1
B4 B 0.8617 0.7093 0.2160 1
O1 O 0.0677 0.6835 0.3502 1
O2 O 0.1257 0.2145 0.0759 1
O3 O 0.2145 0.1257 0.5759 1
O4 O 0.2410 0.4797 0.8133 1
O5 O 0.3165 0.9323 0.1498 1
O6 O 0.4797 0.2410 0.3133 1
O7 O 0.5203 0.7590 0.6867 1
O8 O 0.6835 0.0677 0.8502 1
O9 O 0.7590 0.5203 0.1867 1
O10 O 0.7855 0.8743 0.4241 1
O11 O 0.8743 0.7855 0.9241 1
O12 O 0.9323 0.3165 0.6498 1
```

Most intense lines, 15 to 90 degrees two-theta, by angle:
- 2θ 18.90, d = 4.696 Å, intensity 100
- 2θ 22.06, d = 4.030 Å, intensity 35
- 2θ 24.92, d = 3.573 Å, intensity 29
- 2θ 26.65, d = 3.345 Å, intensity 36
- 2θ 28.74, d = 3.106 Å, intensity 29
- 2θ 30.71, d = 2.911 Å, intensity 52
- 2θ 33.98, d = 2.638 Å, intensity 30
- 2θ 34.92, d = 2.569 Å, intensity 31
- 2θ 39.68, d = 2.272 Å, intensity 40
- 2θ 47.02, d = 1.932 Å, intensity 42



# Pu8Os2Ru3
Calculated powder diffraction line list, Cu Kα. Input: a crystal structure in Alexandria, relaxed with GGA-PBE.
Neutral-atom scattering factors, no anomalous dispersion.

Structure:
```
data_Pu8Os2Ru3
_chemical_formula_sum 'Pu8 Os2 Ru3'
_cell_length_a 4.8661
_cell_length_b 6.9382
_cell_length_c 8.1308
_cell_angle_alpha 95.06
_cell_angle_beta 98.55
_cell_angle_gamma 103.26
_space_group_name_H-M_alt 'P 1'
_space_group_IT_number 1
loop_
_space_group_symop_operation_xyz
'x,y,z'
loop_
_atom_site_label
_atom_site_type_symbol
_atom_site_fract_x
_atom_site_fract_y
_atom_site_fract_z
_atom_site_occupancy
Pu1 Pu 0.0460 0.1050 0.3340 1
Pu2 Pu 0.1799 0.3706 0.0385 1
Pu3 Pu 0.2455 0.5940 0.4070 1
Pu4 Pu 0.3003 0.8810 0.1011 1
Pu5 Pu 0.6997 0.1190 0.8989 1
Pu6 Pu 0.7545 0.4060 0.5930 1
Pu7 Pu 0.8201 0.6294 0.9615 1
Pu8 Pu 0.9540 0.8950 0.6660 1
Os1 Os 0.3639 0.7002 0.7655 1
Os2 Os 0.6361 0.2998 0.2345 1
Ru1 Ru 0.2643 0.2954 0.7096 1
Ru2 Ru 0.5000 0.0000 0.5000 1
Ru3 Ru 0.7357 0.7046 0.2904 1
```

Most intense lines, 15 to 90 degrees two-theta, by angle:
- 2θ 30.86, d = 2.897 Å, intensity 34
- 2θ 30.91, d = 2.893 Å, intensity 33
- 2θ 32.66, d = 2.742 Å, intensity 22
- 2θ 35.85, d = 2.505 Å, intensity 100
- 2θ 36.32, d = 2.473 Å, intensity 88
- 2θ 36.66, d = 2.451 Å, intensity 27
- 2θ 37.19, d = 2.418 Å, intensity 70
- 2θ 37.60, d = 2.392 Å, intensity 59
- 2θ 41.15, d = 2.194 Å, intensity 36
- 2θ 41.38, d = 2.182 Å, intensity 44



# Dy8Tm3Sc3
Calculated powder diffraction line list, Cu Kα. Input: a crystal structure in Alexandria, relaxed with GGA-PBE.
Neutral-atom scattering factors, no anomalous dispersion.

Structure:
```
data_Dy8Tm3Sc3
_chemical_formula_sum 'Dy8 Tm3 Sc3'
_cell_length_a 9.4086
_cell_length_b 9.4086
_cell_length_c 9.4086
_cell_angle_alpha 146.13
_cell_angle_beta 112.85
_cell_angle_gamma 77.37
_space_group_name_H-M_alt 'P 1'
_space_group_IT_number 1
loop_
_space_group_symop_operation_xyz
'x,y,z'
loop_
_atom_site_label
_atom_site_type_symbol
_atom_site_fract_x
_atom_site_fract_y
_atom_site_fract_z
_atom_site_occupancy
Dy1 Dy 0.0589 0.3977 0.6612 1
Dy2 Dy 0.0616 0.2201 0.8416 1
Dy3 Dy 0.2635 0.6023 0.6612 1
Dy4 Dy 0.3785 0.2201 0.1584 1
Dy5 Dy 0.6215 0.7799 0.8416 1
Dy6 Dy 0.7365 0.3977 0.3388 1
Dy7 Dy 0.9384 0.7799 0.1584 1
Dy8 Dy 0.9411 0.6023 0.3388 1
Tm1 Tm 0.3236 0.8236 0.5000 1
Tm2 Tm 0.5000 0.5000 0.0000 1
Tm3 Tm 0.6764 0.1764 0.5000 1
Sc1 Sc 0.0000 0.0000 0.0000 1
Sc2 Sc 0.2956 0.0000 0.2956 1
Sc3 Sc 0.7044 0.0000 0.7044 1
```

Most intense lines, 15 to 90 degrees two-theta, by angle:
- 2θ 26.40, d = 3.376 Å, intensity 39
- 2θ 29.89, d = 2.989 Å, intensity 20
- 2θ 30.54, d = 2.928 Å, intensity 52
- 2θ 31.62, d = 2.830 Å, intensity 32
- 2θ 32.68, d = 2.741 Å, intensity 60
- 2θ 32.90, d = 2.722 Å, intensity 100
- 2θ 34.64, d = 2.589 Å, intensity 52
- 2θ 42.49, d = 2.128 Å, intensity 22
- 2θ 46.11, d = 1.969 Å, intensity 23
- 2θ 58.46, d = 1.579 Å, intensity 19



# CdReClO4
Calculated powder diffraction line list, Cu Kα. Input: a crystal structure in Alexandria, relaxed with GGA-PBE.
Neutral-atom scattering factors, no anomalous dispersion.

Structure:
```
data_CdReClO4
_chemical_formula_sum 'Cd2 Re2 Cl2 O8'
_cell_length_a 6.1377
_cell_length_b 6.1377
_cell_length_c 9.7627
_cell_angle_alpha 112.80
_cell_angle_beta 112.80
_cell_angle_gamma 75.62
_space_group_name_H-M_alt 'P 1'
_space_group_IT_number 1
loop_
_space_group_symop_operation_xyz
'x,y,z'
loop_
_atom_site_label
_atom_site_type_symbol
_atom_site_fract_x
_atom_site_fract_y
_atom_site_fract_z
_atom_site_occupancy
Cd1 Cd 0.1625 0.1625 0.1962 1
Cd2 Cd 0.8375 0.8375 0.8038 1
Re1 Re 0.3669 0.3669 0.6672 1
Re2 Re 0.6331 0.6331 0.3328 1
Cl1 Cl 0.1385 0.1385 0.9257 1
Cl2 Cl 0.8615 0.8615 0.0743 1
O1 O 0.1474 0.5257 0.7532 1
O2 O 0.2303 0.2303 0.4651 1
O3 O 0.4406 0.4406 0.3060 1
O4 O 0.4743 0.8526 0.2468 1
O5 O 0.5257 0.1474 0.7532 1
O6 O 0.5594 0.5594 0.6940 1
O7 O 0.7697 0.7697 0.5349 1
O8 O 0.8526 0.4743 0.2468 1
```

Most intense lines, 15 to 90 degrees two-theta, by angle:
- 2θ 15.79, d = 5.612 Å, intensity 28
- 2θ 18.30, d = 4.849 Å, intensity 84
- 2θ 20.88, d = 4.254 Å, intensity 35
- 2θ 21.67, d = 4.101 Å, intensity 100
- 2θ 23.64, d = 3.763 Å, intensity 83
- 2θ 27.80, d = 3.209 Å, intensity 31
- 2θ 30.06, d = 2.973 Å, intensity 32
- 2θ 30.32, d = 2.948 Å, intensity 44
- 2θ 30.52, d = 2.929 Å, intensity 36
- 2θ 48.75, d = 1.868 Å, intensity 26



# KBiPb3
Calculated powder diffraction line list, Cu Kα. Input: a crystal structure in Alexandria, relaxed with GGA-PBE.
Neutral-atom scattering factors, no anomalous dispersion.

Structure:
```
data_KBiPb3
_chemical_formula_sum 'K4 Bi4 Pb12'
_cell_length_a 11.4088
_cell_length_b 11.4088
_cell_length_c 6.9814
_cell_angle_alpha 94.87
_cell_angle_beta 94.87
_cell_angle_gamma 54.97
_space_group_name_H-M_alt 'P 1'
_space_group_IT_number 1
loop_
_space_group_symop_operation_xyz
'x,y,z'
loop_
_atom_site_label
_atom_site_type_symbol
_atom_site_fract_x
_atom_site_fract_y
_atom_site_fract_z
_atom_site_occupancy
K1 K 0.0527 0.9473 0.7500 1
K2 K 0.4016 0.5984 0.7500 1
K3 K 0.5984 0.4016 0.2500 1
K4 K 0.9473 0.0527 0.2500 1
Bi1 Bi 0.2090 0.6387 0.1695 1
Bi2 Bi 0.3613 0.7910 0.3305 1
Bi3 Bi 0.6387 0.2090 0.6695 1
Bi4 Bi 0.7910 0.3613 0.8305 1
Pb1 Pb 0.0347 0.3547 0.6059 1
Pb2 Pb 0.0359 0.3527 0.1187 1
Pb3 Pb 0.3233 0.3277 0.8899 1
Pb4 Pb 0.3277 0.3233 0.3899 1
Pb5 Pb 0.3527 0.0359 0.6187 1
Pb6 Pb 0.3547 0.0347 0.1059 1
Pb7 Pb 0.6453 0.9653 0.8941 1
Pb8 Pb 0.6473 0.9641 0.3813 1
Pb9 Pb 0.6723 0.6767 0.6101 1
Pb10 Pb 0.6767 0.6723 0.1101 1
Pb11 Pb 0.9641 0.6473 0.8813 1
Pb12 Pb 0.9653 0.6453 0.3941 1
```

Most intense lines, 15 to 90 degrees two-theta, by angle:
- 2θ 15.56, d = 5.696 Å, intensity 31
- 2θ 27.95, d = 3.192 Å, intensity 43
- 2θ 28.69, d = 3.111 Å, intensity 100
- 2θ 29.81, d = 2.997 Å, intensity 68
- 2θ 32.68, d = 2.740 Å, intensity 52
- 2θ 33.87, d = 2.647 Å, intensity 65
- 2θ 35.65, d = 2.519 Å, intensity 33
- 2θ 36.35, d = 2.471 Å, intensity 73
- 2θ 36.98, d = 2.431 Å, intensity 37
- 2θ 52.63, d = 1.739 Å, intensity 22



# Cs3MnAg2Br6
Calculated powder diffraction line list, Cu Kα. Input: a crystal structure in Alexandria, relaxed with GGA-PBE.
Neutral-atom scattering factors, no anomalous dispersion.

Structure:
```
data_Cs3MnAg2Br6
_chemical_formula_sum 'Cs3 Mn1 Ag2 Br6'
_cell_length_a 8.0539
_cell_length_b 8.0539
_cell_length_c 8.9742
_cell_angle_alpha 90.00
_cell_angle_beta 90.00
_cell_angle_gamma 120.00
_space_group_name_H-M_alt 'P 1'
_space_group_IT_number 1
loop_
_space_group_symop_operation_xyz
'x,y,z'
loop_
_atom_site_label
_atom_site_type_symbol
_atom_site_fract_x
_atom_site_fract_y
_atom_site_fract_z
_atom_site_occupancy
Cs1 Cs 0.0000 0.0000 0.0000 1
Cs2 Cs 0.3333 0.6667 0.6403 1
Cs3 Cs 0.6667 0.3333 0.3597 1
Mn1 Mn 0.0000 0.0000 0.5000 1
Ag1 Ag 0.3333 0.6667 0.1871 1
Ag2 Ag 0.6667 0.3333 0.8129 1
Br1 Br 0.1567 0.3133 0.3202 1
Br2 Br 0.1567 0.8433 0.3202 1
Br3 Br 0.3133 0.1567 0.6798 1
Br4 Br 0.6867 0.8433 0.3202 1
Br5 Br 0.8433 0.1567 0.6798 1
Br6 Br 0.8433 0.6867 0.6798 1
```

Most intense lines, 15 to 90 degrees two-theta, by angle:
- 2θ 16.09, d = 5.507 Å, intensity 13
- 2θ 22.07, d = 4.027 Å, intensity 48
- 2θ 23.58, d = 3.774 Å, intensity 36
- 2θ 27.44, d = 3.251 Å, intensity 39
- 2θ 32.52, d = 2.753 Å, intensity 100
- 2θ 39.66, d = 2.273 Å, intensity 23
- 2θ 45.02, d = 2.013 Å, intensity 35
- 2θ 48.23, d = 1.887 Å, intensity 26
- 2θ 56.64, d = 1.625 Å, intensity 21
- 2θ 75.12, d = 1.265 Å, intensity 15



# La7PmZn4
Calculated powder diffraction line list, Cu Kα. Input: a crystal structure in Alexandria, relaxed with GGA-PBE.
Neutral-atom scattering factors, no anomalous dispersion.

Structure:
```
data_La7PmZn4
_chemical_formula_sum 'La7 Pm1 Zn4'
_cell_length_a 7.6106
_cell_length_b 7.6106
_cell_length_c 10.7553
_cell_angle_alpha 121.64
_cell_angle_beta 121.64
_cell_angle_gamma 44.51
_space_group_name_H-M_alt 'P 1'
_space_group_IT_number 1
loop_
_space_group_symop_operation_xyz
'x,y,z'
loop_
_atom_site_label
_atom_site_type_symbol
_atom_site_fract_x
_atom_site_fract_y
_atom_site_fract_z
_atom_site_occupancy
La1 La 0.0000 0.0000 0.0000 1
La2 La 0.2047 0.2047 0.6456 1
La3 La 0.2954 0.2954 0.1214 1
La4 La 0.4345 0.4345 0.6169 1
La5 La 0.5655 0.5655 0.3831 1
La6 La 0.7046 0.7046 0.8786 1
La7 La 0.7953 0.7953 0.3544 1
Pm1 Pm 0.5000 0.5000 0.0000 1
Zn1 Zn 0.0480 0.0480 0.7585 1
Zn2 Zn 0.1772 0.1772 0.3350 1
Zn3 Zn 0.8228 0.8228 0.6650 1
Zn4 Zn 0.9520 0.9520 0.2415 1
```

Most intense lines, 15 to 90 degrees two-theta, by angle:
- 2θ 26.35, d = 3.382 Å, intensity 31
- 2θ 28.38, d = 3.144 Å, intensity 51
- 2θ 29.70, d = 3.008 Å, intensity 62
- 2θ 29.95, d = 2.984 Å, intensity 57
- 2θ 30.26, d = 2.954 Å, intensity 23
- 2θ 31.02, d = 2.883 Å, intensity 100
- 2θ 33.86, d = 2.647 Å, intensity 40
- 2θ 36.50, d = 2.462 Å, intensity 21
- 2θ 37.44, d = 2.402 Å, intensity 52
- 2θ 42.55, d = 2.125 Å, intensity 34



# Na2In3Ge
Calculated powder diffraction line list, Cu Kα. Input: a crystal structure in Alexandria, relaxed with GGA-PBE.
Neutral-atom scattering factors, no anomalous dispersion.

Structure:
```
data_Na2In3Ge
_chemical_formula_sum 'Na2 In3 Ge1'
_cell_length_a 3.2882
_cell_length_b 5.1137
_cell_length_c 8.9540
_cell_angle_alpha 90.00
_cell_angle_beta 90.00
_cell_angle_gamma 90.00
_space_group_name_H-M_alt 'P 1'
_space_group_IT_number 1
loop_
_space_group_symop_operation_xyz
'x,y,z'
loop_
_atom_site_label
_atom_site_type_symbol
_atom_site_fract_x
_atom_site_fract_y
_atom_site_fract_z
_atom_site_occupancy
Na1 Na 0.0000 0.0000 0.0000 1
Na2 Na 0.0000 0.5000 0.4830 1
In1 In 0.5000 0.0000 0.6511 1
In2 In 0.5000 0.5000 0.1616 1
In3 In 0.5000 0.5000 0.8241 1
Ge1 Ge 0.5000 0.0000 0.3263 1
```

Most intense lines, 15 to 90 degrees two-theta, by angle:
- 2θ 19.83, d = 4.477 Å, intensity 24
- 2θ 20.00, d = 4.441 Å, intensity 52
- 2θ 27.12, d = 3.288 Å, intensity 61
- 2θ 33.82, d = 2.650 Å, intensity 33
- 2θ 33.92, d = 2.643 Å, intensity 68
- 2θ 34.80, d = 2.578 Å, intensity 100
- 2θ 35.10, d = 2.557 Å, intensity 49
- 2θ 44.67, d = 2.029 Å, intensity 62
- 2θ 44.91, d = 2.018 Å, intensity 31
- 2θ 67.58, d = 1.386 Å, intensity 27



# PrPaV
Calculated powder diffraction line list, Cu Kα. Input: a crystal structure in Alexandria, relaxed with GGA-PBE.
Neutral-atom scattering factors, no anomalous dispersion.

Structure:
```
data_PrPaV
_chemical_formula_sum 'Pr2 Pa2 V2'
_cell_length_a 3.5576
_cell_length_b 5.0914
_cell_length_c 8.3780
_cell_angle_alpha 90.00
_cell_angle_beta 99.34
_cell_angle_gamma 90.00
_space_group_name_H-M_alt 'P 1'
_space_group_IT_number 1
loop_
_space_group_symop_operation_xyz
'x,y,z'
loop_
_atom_site_label
_atom_site_type_symbol
_atom_site_fract_x
_atom_site_fract_y
_atom_site_fract_z
_atom_site_occupancy
Pr1 Pr 0.2181 0.2500 0.4185 1
Pr2 Pr 0.7819 0.7500 0.5815 1
Pa1 Pa 0.1331 0.7500 0.1559 1
Pa2 Pa 0.8669 0.2500 0.8441 1
V1 V 0.4320 0.7500 0.9241 1
V2 V 0.5680 0.2500 0.0759 1
```

Most intense lines, 15 to 90 degrees two-theta, by angle:
- 2θ 20.49, d = 4.335 Å, intensity 21
- 2θ 25.92, d = 3.438 Å, intensity 33
- 2θ 27.80, d = 3.209 Å, intensity 100
- 2θ 32.49, d = 2.756 Å, intensity 19
- 2θ 34.21, d = 2.621 Å, intensity 94
- 2θ 35.26, d = 2.546 Å, intensity 57
- 2θ 35.44, d = 2.533 Å, intensity 68
- 2θ 47.28, d = 1.923 Å, intensity 19
- 2θ 58.41, d = 1.580 Å, intensity 19
- 2θ 60.33, d = 1.534 Å, intensity 19



# Tm3Th5As8
Calculated powder diffraction line list, Cu Kα. Input: a crystal structure in Alexandria, relaxed with GGA-PBE.
Neutral-atom scattering factors, no anomalous dispersion.

Structure:
```
data_Tm3Th5As8
_chemical_formula_sum 'Tm3 Th5 As8'
_cell_length_a 8.3586
_cell_length_b 8.3586
_cell_length_c 8.3586
_cell_angle_alpha 60.21
_cell_angle_beta 60.21
_cell_angle_gamma 60.21
_space_group_name_H-M_alt 'P 1'
_space_group_IT_number 1
loop_
_space_group_symop_operation_xyz
'x,y,z'
loop_
_atom_site_label
_atom_site_type_symbol
_atom_site_fract_x
_atom_site_fract_y
_atom_site_fract_z
_atom_site_occupancy
Tm1 Tm 0.0000 0.5000 0.5000 1
Tm2 Tm 0.5000 0.0000 0.5000 1
Tm3 Tm 0.5000 0.5000 0.0000 1
Th1 Th 0.0000 0.0000 0.0000 1
Th2 Th 0.0000 0.0000 0.5000 1
Th3 Th 0.0000 0.5000 0.0000 1
Th4 Th 0.5000 0.0000 0.0000 1
Th5 Th 0.5000 0.5000 0.5000 1
As1 As 0.2500 0.2500 0.7414 1
As2 As 0.2500 0.7414 0.2500 1
As3 As 0.2539 0.2539 0.2539 1
As4 As 0.2586 0.7500 0.7500 1
As5 As 0.7414 0.2500 0.2500 1
As6 As 0.7461 0.7461 0.7461 1
As7 As 0.7500 0.2586 0.7500 1
As8 As 0.7500 0.7500 0.2586 1
```

Most intense lines, 15 to 90 degrees two-theta, by angle:
- 2θ 26.04, d = 3.421 Å, intensity 28
- 2θ 30.19, d = 2.960 Å, intensity 100
- 2θ 43.15, d = 2.096 Å, intensity 38
- 2θ 43.30, d = 2.090 Å, intensity 38
- 2θ 51.14, d = 1.786 Å, intensity 15
- 2θ 53.57, d = 1.711 Å, intensity 20
- 2θ 62.79, d = 1.480 Å, intensity 13
- 2θ 71.13, d = 1.325 Å, intensity 18
- 2θ 71.34, d = 1.322 Å, intensity 17
- 2θ 79.23, d = 1.209 Å, intensity 13



# HfPCl
Calculated powder diffraction line list, Cu Kα. Input: a crystal structure in Alexandria, relaxed with GGA-PBE.
Neutral-atom scattering factors, no anomalous dispersion.

Structure:
```
data_HfPCl
_chemical_formula_sum 'Hf2 P2 Cl2'
_cell_length_a 11.3118
_cell_length_b 11.3118
_cell_length_c 11.3118
_cell_angle_alpha 162.19
_cell_angle_beta 162.19
_cell_angle_gamma 25.29
_space_group_name_H-M_alt 'P 1'
_space_group_IT_number 1
loop_
_space_group_symop_operation_xyz
'x,y,z'
loop_
_atom_site_label
_atom_site_type_symbol
_atom_site_fract_x
_atom_site_fract_y
_atom_site_fract_z
_atom_site_occupancy
Hf1 Hf 0.1680 0.1680 0.0000 1
Hf2 Hf 0.8320 0.8320 0.0000 1
P1 P 0.2894 0.2894 0.0000 1
P2 P 0.7106 0.7106 0.0000 1
Cl1 Cl 0.5812 0.0812 0.5000 1
Cl2 Cl 0.9188 0.4188 0.5000 1
```

Most intense lines, 15 to 90 degrees two-theta, by angle:
- 2θ 16.06, d = 5.519 Å, intensity 26
- 2θ 24.19, d = 3.679 Å, intensity 26
- 2θ 25.76, d = 3.458 Å, intensity 33
- 2θ 28.22, d = 3.162 Å, intensity 100
- 2θ 36.28, d = 2.476 Å, intensity 30
- 2θ 37.22, d = 2.416 Å, intensity 35
- 2θ 44.09, d = 2.054 Å, intensity 51
- 2θ 45.13, d = 2.009 Å, intensity 46
- 2θ 60.44, d = 1.532 Å, intensity 24
- 2θ 71.48, d = 1.320 Å, intensity 23